No. 1
Starting from a structure optimized by DFT (PBE), the PXRD pattern of Al5Co4 was calculated for Cu Kα.
Neutral-atom scattering factors, no anomalous dispersion.

Main lines, in order of falling intensity (10° ≤ 2θ ≤ 90°):
- 43.82°, I = 100.0, (3 0 0)
- 42.54°, I = 19.6, (2 1 1)
- 30.60°, I = 17.5, (1 1 1)
- 80.56°, I = 13.5, (3 3 0)
- 63.70°, I = 11.9, (2 2 2)
- 56.57°, I = 9.9, (3 1 1)
- 28.83°, I = 9.9, (2 0 0)
- 35.43°, I = 6.5, (0 0 2)
- 85.05°, I = 6.4, (4 2 1)
- 68.53°, I = 6.3, (2 1 3)

Atomic structure:
Unit cell a=7.1526 b=7.1526 c=5.0670 alpha=90.00 beta=90.00 gamma=120.00
Space group P6_3/mcm (No. 193)
Asymmetric unit:
Al 0.0000 0.2888 0.2500
Al 0.3333 0.6667 0.0000
Co 0.0000 0.0000 0.0000
Co 0.0000 0.3782 0.7500



No. 2
Starting from a structure optimized by DFT (PBE), the PXRD pattern of NaGaS2 was calculated for Cu Kα.
Neutral-atom scattering factors, no anomalous dispersion.

Main lines, in order of falling intensity (10° ≤ 2θ ≤ 90°):
- 26.35°, I = 100.0, (2 2 -2)
- 33.89°, I = 90.5, (2 2 3)
- 48.94°, I = 56.9, (4 0 -6)
- 13.14°, I = 48.5, (0 0 2)
- 49.94°, I = 47.2, (4 4 -1)
- 14.66°, I = 37.7, (1 1 1)
- 16.77°, I = 35.2, (1 1 -2)
- 35.03°, I = 33.9, (3 1 -4)
- 32.99°, I = 30.1, (1 3 -3)
- 37.26°, I = 28.8, (1 3 -4)

Atomic structure:
Unit cell a=10.3300 b=10.3327 c=13.6661 alpha=90.00 beta=100.83 gamma=90.00
Space group C2/c (No. 15)
Asymmetric unit:
Na 0.0313 0.1848 0.3800
Na 0.2198 0.4368 0.1260
Ga 0.0991 0.1895 0.6513
Ga 0.1480 0.4366 0.8485
S 0.0000 0.0556 0.7500
S 0.0000 0.4292 0.2500
S 0.0510 0.3126 0.9530
S 0.1994 0.0619 0.5501
S 0.2424 0.1867 0.2504